# 1
Starting from a DFT-relaxed cell (PBE, Alexandria), the PXRD pattern of Ag2BiAuCl6 was simulated for Cu Kα (λ = 1.5418 Å).

Structural model:
abc: 6.946 7.351 7.478
angles: 106.29 112.83 107.02
Element x y z (fractional)
Ag 0.000 0.000 0.000
Ag 0.295 0.605 0.887
Bi 0.974 0.536 0.293
Au 0.459 0.021 0.262
Cl 0.004 0.330 0.944
Cl 0.163 0.327 0.468
Cl 0.420 0.863 0.481
Cl 0.520 0.198 0.063
Cl 0.739 0.736 0.070
Cl 0.965 0.700 0.663

Main lines, low angle first (2θ from 10° to 90°):
2θ 14.37, rel. 100; 2θ 15.53, rel. 92; 2θ 20.05, rel. 77; 2θ 20.92, rel. 90; 2θ 22.33, rel. 49; 2θ 25.40, rel. 44; 2θ 26.87, rel. 48; 2θ 31.36, rel. 52; 2θ 31.48, rel. 66; 2θ 36.07, rel. 41

---

# 2
Starting from a DFT-relaxed cell (PBE, Alexandria), the PXRD pattern of In2Ag7Bi2Au was simulated for Cu Kα (λ = 1.5418 Å).

Structural model:
abc: 4.101 4.101 15.979
angles: 96.97 96.97 90.06
Element x y z (fractional)
In 0.129 0.129 0.270
In 0.871 0.871 0.730
Ag 0.000 0.000 0.000
Ag 0.064 0.564 0.136
Ag 0.222 0.222 0.455
Ag 0.436 0.936 0.864
Ag 0.564 0.064 0.136
Ag 0.778 0.778 0.545
Ag 0.936 0.436 0.864
Bi 0.326 0.326 0.639
Bi 0.674 0.674 0.361
Au 0.500 0.500 0.000

Main lines, low angle first (2θ from 10° to 90°):
2θ 30.83, rel. 54; 2θ 31.34, rel. 35; 2θ 35.23, rel. 35; 2θ 35.35, rel. 68; 2θ 35.53, rel. 33; 2θ 38.22, rel. 52; 2θ 38.46, rel. 64; 2θ 38.55, rel. 24; 2θ 44.17, rel. 100; 2θ 64.24, rel. 32

---

# 3
Starting from a DFT-relaxed cell (PBE, Alexandria), the PXRD pattern of LiAgBiAu was simulated for Cu Kα (λ = 1.5418 Å).

Structural model:
abc: 5.168 5.168 5.168
angles: 129.10 129.10 74.85
Element x y z (fractional)
Li 0.000 0.000 0.000
Ag 0.750 0.250 0.500
Bi 0.250 0.750 0.500
Au 0.500 0.500 0.000

Main lines, low angle first (2θ from 10° to 90°):
2θ 22.77, rel. 52; 2θ 36.01, rel. 100; 2θ 38.65, rel. 14; 2θ 40.63, rel. 36; 2θ 44.13, rel. 14; 2θ 47.07, rel. 16; 2θ 58.81, rel. 12; 2θ 61.53, rel. 21; 2θ 70.92, rel. 28; 2θ 75.86, rel. 12

---

# 4
Starting from a DFT-relaxed cell (PBE, Alexandria), the PXRD pattern of NaAgBiAu was simulated for Cu Kα (λ = 1.5418 Å).

Structural model:
abc: 5.030 5.030 5.030
angles: 60.00 60.00 60.00
Element x y z (fractional)
Na 0.000 0.000 0.000
Ag 0.750 0.750 0.750
Bi 0.500 0.500 0.500
Au 0.250 0.250 0.250

Main lines, low angle first (2θ from 10° to 90°):
2θ 21.64, rel. 31; 2θ 35.70, rel. 100; 2θ 42.13, rel. 18; 2θ 51.38, rel. 18; 2θ 56.38, rel. 8; 2θ 64.13, rel. 36; 2θ 68.54, rel. 6; 2θ 75.62, rel. 11; 2θ 79.75, rel. 6; 2θ 86.53, rel. 17